# V2P2H6PbO14
Calculated powder diffractogram, a wavelength of 1.5418 Å. Input: a PBE+U-relaxed structure.
Lines closer than 0.1° are merged.

Structure:
Cell: 6.3459 6.3459 15.3701 Å, 101.59 101.59 89.69°
Positions (direct):
V  0.0639  0.9361  0.5000
V  0.4715  0.6172  0.0979
V  0.6172  0.4715  0.5979
V  0.9361  0.0639  0.0000
P  0.0907  0.4572  0.5512
P  0.4572  0.0907  0.0512
P  0.5886  0.9540  0.5493
P  0.9540  0.5886  0.0493
H  0.0071  0.1339  0.8134
H  0.0211  0.3298  0.2917
H  0.0608  0.1556  0.7181
H  0.1339  0.0071  0.3134
H  0.1556  0.0608  0.2181
H  0.3298  0.0211  0.7917
H  0.4624  0.9405  0.8745
H  0.5845  0.6585  0.7592
H  0.6585  0.5845  0.2592
H  0.7261  0.9801  0.8282
H  0.9405  0.4624  0.3745
H  0.9801  0.7261  0.3282
Pb  0.0333  0.6279  0.8149
Pb  0.6279  0.0333  0.3149
O  0.0486  0.6192  0.4864
O  0.0510  0.2330  0.4862
O  0.0954  0.9851  0.6104
O  0.1039  0.2132  0.7838
O  0.1769  0.6263  0.1145
O  0.2132  0.1039  0.2838
O  0.2330  0.0510  0.9862
O  0.3201  0.4857  0.6098
O  0.3577  0.9296  0.4891
O  0.4126  0.5812  0.9873
O  0.4154  0.8982  0.8079
O  0.4857  0.3201  0.1098
O  0.4876  0.9393  0.1202
O  0.5506  0.6849  0.2382
O  0.5812  0.4126  0.4873
O  0.6192  0.0486  0.9864
O  0.6263  0.1769  0.6145
O  0.6271  0.7855  0.6091
O  0.6849  0.5506  0.7382
O  0.7390  0.9288  0.4791
O  0.7855  0.6271  0.1091
O  0.8785  0.9881  0.8591
O  0.8982  0.4154  0.3079
O  0.9288  0.7390  0.9791
O  0.9296  0.3577  0.9891
O  0.9393  0.4876  0.6202
O  0.9851  0.0954  0.1104
O  0.9881  0.8785  0.3591

Top 8 peaks for 2θ = 10–90°, by angle:
| Position (°2θ) | I (rel.) |
| --- | --- |
| 14.29 | 100.0 |
| 16.58 | 45.0 |
| 16.68 | 27.2 |
| 20.66 | 62.2 |
| 24.15 | 38.2 |
| 28.75 | 43.4 |
| 30.78 | 28.9 |
| 32.89 | 27.7 |